For PrC2, a structure optimized by DFT (PBE) gives the simulated powder diffraction line list in this record (Cu Kα X-rays).
Kinematic intensities with the Lorentz-polarization factor, no thermal factor.

```
data_PrC2
_chemical_formula_sum 'Pr2 C4'
_cell_length_a 3.8804
_cell_length_b 3.8804
_cell_length_c 6.5242
_cell_angle_alpha 90.00
_cell_angle_beta 90.00
_cell_angle_gamma 90.00
_symmetry_space_group_name_H-M 'I 4/m m m'
_symmetry_Int_Tables_number 139
_symmetry_space_group_name_Hall '-I 4 2'
loop_
_atom_site_label
_atom_site_type_symbol
_atom_site_fract_x
_atom_site_fract_y
_atom_site_fract_z
_atom_site_occupancy
Pr1 Pr 0.0000 0.0000 0.0000 1
C1 C 0.0000 0.0000 0.4006 1
```

Main lines, in order of rising 2θ (2θ from 10° to 90°):
- 2θ = 26.73°, d = 3.335 Å, rel. 100.0, hkl 1 0 1
- 2θ = 27.34°, d = 3.262 Å, rel. 35.0, hkl 0 0 2
- 2θ = 32.64°, d = 2.744 Å, rel. 53.2, hkl 1 1 0
- 2θ = 43.08°, d = 2.100 Å, rel. 40.3, hkl 1 1 2
- 2θ = 46.82°, d = 1.940 Å, rel. 18.6, hkl 2 0 0
- 2θ = 47.95°, d = 1.897 Å, rel. 29.3, hkl 1 0 3
- 2θ = 54.73°, d = 1.677 Å, rel. 29.9, hkl 2 1 1
- 2θ = 55.07°, d = 1.668 Å, rel. 19.4, hkl 2 0 2
- 2θ = 69.27°, d = 1.356 Å, rel. 19.1, hkl 2 1 3
- 2θ = 84.32°, d = 1.149 Å, rel. 11.4, hkl 3 1 2